Structure and simulated powder diffractogram of FeS4N4Cl4 (a GGA-PBE-relaxed structure; CuKα).

Cell and atoms:
```
FeS4N4Cl4
1.0
8.3873 0.0000 0.0000
0.0000 10.6566 0.0000
-4.3025 0.0000 15.0141
Fe S N Cl
4 16 16 16
Cartesian
0.9061 1.5089 3.6573
-1.2451 3.8194 11.1643
5.3300 6.8372 3.8498
3.1788 9.1477 11.3568
-1.3984 7.8562 9.1422
0.7529 8.1287 1.6352
2.1113 5.9519 0.0798
-0.0399 10.0330 7.5868
0.0031 5.8001 7.4999
-2.1481 10.1849 15.0070
1.3655 7.9536 5.9173
-0.7857 8.0313 13.4243
4.8706 2.6253 1.5898
2.7194 2.7030 9.0968
6.2330 0.4718 0.0071
4.0818 4.8565 7.5142
4.1248 0.6236 7.4273
1.9735 4.7047 14.9343
3.3320 2.5279 13.3789
5.4832 2.8004 5.8719
-1.1977 6.6423 8.1264
0.9535 9.3426 0.6194
1.3508 6.7417 1.1993
-0.8004 9.2432 8.7064
-1.6599 6.7585 13.8208
0.4913 9.2264 6.3138
1.0296 6.5777 6.5950
-1.1216 9.4072 14.1020
5.2065 1.2494 0.9121
3.0552 4.0789 8.4191
3.5935 1.4302 8.7003
5.7447 3.8981 1.1933
4.8853 1.4134 6.3077
2.7340 3.9149 13.8148
3.1313 1.3140 14.3947
5.2825 4.0143 6.8877
-1.1069 5.8142 3.9328
-3.2581 10.1707 11.4399
-1.0354 2.4582 9.4315
1.1159 2.8701 1.9244
1.0418 2.5656 5.6050
-1.1094 2.7627 13.1121
2.5279 0.0006 3.5215
0.3766 5.3277 11.0285
1.5570 10.6560 11.4926
3.7082 5.3289 3.9856
5.1943 7.8939 1.9020
3.0431 8.0910 9.4091
2.9690 7.7865 13.0897
5.1202 8.1984 5.5826
7.3430 0.4859 3.5742
5.1917 4.8424 11.0813
```

Largest 12 diffraction maxima, by intensity, 10° ≤ 2θ ≤ 90°:
(hkl)	d (Å)	I_rel
2 2 -2	3.222	100
0 2 4	3.069	79
1 1 2	4.427	63
1 1 -2	5.511	55
2 0 0	4.033	45
2 0 2	3.203	38
0 2 1	5.021	27
1 1 -1	6.445	22
2 4 -6	1.803	17
1 3 -2	3.111	16
0 2 3	3.648	13
1 1 -3	4.452	13